The following is a calculated XRD peak list of NaLaGeP2SO12. It was derived from DFT lattice parameters and positions (GGA-PBE), using Cu Kα (weighted mean of Kα1 and Kα2).
Kinematic intensities with the Lorentz-polarization factor, no thermal factor.

Cell and atoms:
```
data_NaLaGeP2SO12
_chemical_formula_sum 'Na4 La4 Ge4 P8 S4 O48'
_space_group_name_H-M_alt 'C 1 c 1'
_space_group_IT_number 9
_cell_length_a 16.2781
_cell_length_b 8.7877
_cell_length_c 8.9728
_cell_angle_alpha 90.00
_cell_angle_beta 121.08
_cell_angle_gamma 90.00
loop_
_space_group_symop_operation_xyz
'x,y,z'
'x,-y,z+1/2'
'x+1/2,y+1/2,z'
'x+1/2,-y+1/2,z+1/2'
loop_
_atom_site_label
_atom_site_fract_x
_atom_site_fract_y
_atom_site_fract_z
Na1 0.0000 0.2400 0.0000
La1 0.3335 0.2581 0.0649
Ge1 0.1012 0.2568 0.4082
P1 0.0921 0.0855 0.7364
P2 0.1970 0.4618 0.2234
S1 0.3871 0.1281 0.7326
O1 0.9999 0.1424 0.7249
O2 0.0865 0.1179 0.5533
O3 0.0961 0.0960 0.2528
O4 0.1181 0.3811 0.2486
O5 0.1378 0.4310 0.5578
O6 0.1835 0.1492 0.8858
O7 0.2538 0.3406 0.1948
O8 0.2668 0.4508 0.8843
O9 0.2999 0.1791 0.5773
O10 0.3916 0.1557 0.8966
O11 0.4108 0.0337 0.2303
O12 0.4697 0.2226 0.7388
```

Largest 10 diffraction maxima, by intensity, 2θ = 15–90°:
d [Å]  I (rel.)  (hkl)
4.732  100.0  1 1 1
4.599  83.7  3 1 -1
3.809  62.9  0 2 1
3.138  46.8  2 2 -2
4.394  44.5  0 2 0
4.483  42.2  2 0 -2
2.575  35.2  3 3 -1
4.108  35.1  3 1 0
3.485  33.4  4 0 0
2.829  32.8  3 1 -3